Record 1
Starting from a DFT-relaxed cell (GGA-PBE, Alexandria), the PXRD pattern of HgSb2Au4 was calculated for Cu Kα, 1.54184 Å.
Intensities are scaled so that the largest is 100.

abc: 4.397 12.680 12.607
angles: 90.00 93.00 90.00
Space group P2_1/c (No. 14)
Symmetry-distinct sites (fractional):
Hg 0.134 0.064 0.274 [4 per cell]
Sb 0.350 0.127 0.928 [4 per cell]
Sb 0.380 0.162 0.598 [4 per cell]
Au 0.122 0.743 0.500 [4 per cell]
Au 0.330 0.554 0.078 [4 per cell]
Au 0.381 0.579 0.370 [4 per cell]
Au 0.413 0.741 0.217 [4 per cell]

Top 10 peaks for 15 to 90 degrees two-theta, sorted by position:
| 2theta | d (Å) | Rel. int. | h k l |
| --- | --- | --- | --- |
| 15.7 | 5.662 | 58 | 0 2 1 |
| 20.2 | 4.391 | 28 | 1 0 0 |
| 28.0 | 3.191 | 66 | 1 2 -2 |
| 29.0 | 3.074 | 83 | 0 4 1 |
| 31.0 | 2.880 | 83 | 1 1 3 |
| 37.4 | 2.405 | 35 | 1 4 -2 |
| 40.6 | 2.222 | 39 | 1 4 -3 |
| 42.0 | 2.150 | 100 | 1 3 4 |
| 42.8 | 2.114 | 37 | 0 6 0 |
| 43.5 | 2.079 | 28 | 2 1 -2 |

Record 2
Starting from a DFT-relaxed cell (GGA-PBE, Alexandria), the PXRD pattern of HgSb3Au3 was calculated for Cu Kα, 1.54184 Å.
Intensities are scaled so that the largest is 100.

abc: 7.442 7.712 7.906
angles: 117.07 108.28 93.05
Space group P-1 (No. 2)
Symmetry-distinct sites (fractional):
Hg 0.048 0.301 0.256 [2 per cell]
Sb 0.162 0.728 0.270 [2 per cell]
Sb 0.302 0.032 0.989 [2 per cell]
Sb 0.396 0.407 0.726 [2 per cell]
Au 0.231 0.384 0.986 [2 per cell]
Au 0.286 0.681 0.610 [2 per cell]
Au 0.381 0.080 0.372 [2 per cell]

Top 10 peaks for 15 to 90 degrees two-theta, sorted by position:
| 2theta | d (Å) | Rel. int. | h k l |
| --- | --- | --- | --- |
| 22.3 | 3.985 | 42 | -1 1 1 |
| 26.0 | 3.422 | 69 | 1 -2 1 |
| 28.1 | 3.170 | 40 | -2 1 1 |
| 29.3 | 3.044 | 40 | 2 1 -2 |
| 30.6 | 2.922 | 44 | 1 1 1 |
| 35.8 | 2.510 | 50 | 2 2 -1 |
| 39.6 | 2.277 | 100 | 3 1 -1 |
| 39.8 | 2.264 | 44 | 2 0 -3 |
| 41.2 | 2.191 | 75 | 1 3 -3 |
| 42.1 | 2.146 | 39 | 1 2 1 |

Record 3
Starting from a DFT-relaxed cell (GGA-PBE, Alexandria), the PXRD pattern of Sc6HgAu5 was calculated for Cu Kα, 1.54184 Å.
Intensities are scaled so that the largest is 100.

abc: 4.863 6.794 7.669
angles: 90.00 108.14 90.00
Space group P2/m (No. 10)
Symmetry-distinct sites (fractional):
Sc 0.000 0.242 0.000 [2 per cell]
Sc 0.330 0.248 0.660 [4 per cell]
Hg 0.500 0.500 0.000 [1 per cell]
Au 0.161 0.500 0.321 [2 per cell]
Au 0.168 0.000 0.334 [2 per cell]
Au 0.500 0.000 0.000 [1 per cell]

Top 10 peaks for 15 to 90 degrees two-theta, sorted by position:
| 2theta | d (Å) | Rel. int. | h k l |
| --- | --- | --- | --- |
| 25.8 | 3.447 | 49 | 1 0 1 |
| 26.0 | 3.427 | 48 | 1 0 -2 |
| 26.2 | 3.397 | 48 | 0 2 0 |
| 37.0 | 2.430 | 100 | 2 0 -1 |
| 37.2 | 2.420 | 99 | 1 2 1 |
| 37.3 | 2.412 | 98 | 1 2 -2 |
| 45.9 | 1.977 | 45 | 2 2 -1 |
| 66.7 | 1.402 | 35 | 3 2 0 |
| 66.9 | 1.398 | 35 | 3 2 -3 |
| 67.2 | 1.392 | 34 | 2 4 -1 |

Record 4
Starting from a DFT-relaxed cell (GGA-PBE, Alexandria), the PXRD pattern of Sc11Hg9Au4 was calculated for Cu Kα, 1.54184 Å.
Intensities are scaled so that the largest is 100.

abc: 14.066 21.079 3.448
angles: 90.00 90.00 90.00
Space group Cmmm (No. 65)
Symmetry-distinct sites (fractional):
Sc 0.000 0.000 0.000 [2 per cell]
Sc 0.000 0.164 0.000 [4 per cell]
Sc 0.000 0.361 0.000 [4 per cell]
Sc 0.215 0.500 0.000 [4 per cell]
Sc 0.241 0.172 0.000 [8 per cell]
Hg 0.000 0.500 0.500 [2 per cell]
Hg 0.110 0.257 0.500 [8 per cell]
Hg 0.133 0.076 0.500 [8 per cell]
Au 0.150 0.401 0.500 [8 per cell]

Top 10 peaks for 15 to 90 degrees two-theta, sorted by position:
| 2theta | d (Å) | Rel. int. | h k l |
| --- | --- | --- | --- |
| 25.3 | 3.515 | 83 | 0 6 0 |
| 25.8 | 3.448 | 75 | 0 0 1 |
| 36.1 | 2.485 | 100 | 4 6 0 |
| 36.5 | 2.462 | 87 | 4 0 1 |
| 36.5 | 2.461 | 85 | 0 6 1 |
| 45.0 | 2.016 | 54 | 4 6 1 |
| 52.0 | 1.757 | 24 | 0 12 0 |
| 53.1 | 1.724 | 23 | 0 0 2 |
| 65.2 | 1.430 | 28 | 4 12 1 |
| 65.9 | 1.416 | 35 | 4 6 2 |

Record 5
Starting from a DFT-relaxed cell (GGA-PBE, Alexandria), the PXRD pattern of TbScHgAu was calculated for Cu Kα, 1.54184 Å.
Intensities are scaled so that the largest is 100.

abc: 3.574 3.574 7.124
angles: 90.00 90.00 90.00
Space group P4mm (No. 99)
Symmetry-distinct sites (fractional):
Tb 0.000 0.000 0.000 [1 per cell]
Sc 0.000 0.000 0.523 [1 per cell]
Hg 0.500 0.500 0.283 [1 per cell]
Au 0.500 0.500 0.737 [1 per cell]

Top 10 peaks for 15 to 90 degrees two-theta, sorted by position:
| 2theta | d (Å) | Rel. int. | h k l |
| --- | --- | --- | --- |
| 24.9 | 3.570 | 13 | 1 0 0 |
| 27.9 | 3.195 | 10 | 1 0 1 |
| 35.6 | 2.524 | 100 | 1 1 0 |
| 51.1 | 1.787 | 12 | 2 0 0 |
| 51.3 | 1.781 | 5 | 0 0 4 |
| 52.9 | 1.731 | 5 | 1 1 3 |
| 63.8 | 1.458 | 24 | 2 1 2 |
| 63.9 | 1.456 | 10 | 1 1 4 |
| 75.3 | 1.262 | 6 | 2 0 4 |
| 86.0 | 1.130 | 11 | 3 1 0 |

Record 6
Starting from a DFT-relaxed cell (GGA-PBE, Alexandria), the PXRD pattern of TmScHgAu was calculated for Cu Kα, 1.54184 Å.
Intensities are scaled so that the largest is 100.

abc: 3.559 3.559 6.994
angles: 90.00 90.00 90.00
Space group P4mm (No. 99)
Symmetry-distinct sites (fractional):
Tm 0.000 0.000 0.000 [1 per cell]
Sc 0.000 0.000 0.479 [1 per cell]
Hg 0.500 0.500 0.723 [1 per cell]
Au 0.500 0.500 0.253 [1 per cell]

Top 10 peaks for 15 to 90 degrees two-theta, sorted by position:
| 2theta | d (Å) | Rel. int. | h k l |
| --- | --- | --- | --- |
| 25.0 | 3.559 | 12 | 1 0 0 |
| 28.1 | 3.172 | 13 | 1 0 1 |
| 35.7 | 2.517 | 53 | 1 1 0 |
| 36.0 | 2.495 | 100 | 1 0 2 |
| 51.3 | 1.780 | 19 | 2 0 0 |
| 64.3 | 1.449 | 37 | 2 1 2 |
| 64.9 | 1.436 | 17 | 1 1 4 |
| 76.4 | 1.247 | 10 | 2 0 4 |
| 86.5 | 1.126 | 9 | 3 1 0 |
| 86.6 | 1.124 | 9 | 3 0 2 |

Record 7
Starting from a DFT-relaxed cell (GGA-PBE, Alexandria), the PXRD pattern of Hg3AuSe was calculated for Cu Kα, 1.54184 Å.
Intensities are scaled so that the largest is 100.

abc: 5.489 8.213 8.313
angles: 63.26 71.33 86.73
Space group P-1 (No. 2)
Symmetry-distinct sites (fractional):
Hg 0.093 0.399 0.385 [2 per cell]
Hg 0.274 0.837 0.811 [2 per cell]
Hg 0.322 0.312 0.832 [2 per cell]
Au 0.000 0.500 0.000 [1 per cell]
Au 0.500 0.500 0.000 [1 per cell]
Se 0.491 0.837 0.386 [2 per cell]

Top 10 peaks for 15 to 90 degrees two-theta, sorted by position:
| 2theta | d (Å) | Rel. int. | h k l |
| --- | --- | --- | --- |
| 23.7 | 3.761 | 55 | 1 -1 1 |
| 24.5 | 3.628 | 55 | 1 0 -1 |
| 25.6 | 3.484 | 79 | 1 0 2 |
| 27.8 | 3.211 | 37 | 1 2 2 |
| 31.4 | 2.846 | 67 | 1 2 0 |
| 33.0 | 2.711 | 57 | 0 3 1 |
| 34.9 | 2.570 | 100 | 0 2 3 |
| 35.7 | 2.517 | 35 | 2 0 2 |
| 42.8 | 2.113 | 48 | -2 2 1 |
| 43.2 | 2.094 | 62 | 0 2 -2 |